# 1
# Nd12YTh5
Theoretical X-ray powder pattern, Cu Ka. Input: the GGA-PBE geometry in Alexandria.
Peak positions follow from Bragg's law for the DFT cell and can differ from measured ones.

Cell and atoms:
Unit cell a=10.9436 b=10.9436 c=5.1419 alpha=90.00 beta=90.00 gamma=90.62
Fractional positions:
Nd: 0.0082 0.3246 0.5000
Nd: 0.1573 0.8427 0.0000
Nd: 0.1730 0.4928 0.0000
Nd: 0.3246 0.0082 0.5000
Nd: 0.3367 0.6633 0.5000
Nd: 0.4928 0.1730 0.0000
Nd: 0.5072 0.8270 0.0000
Nd: 0.6633 0.3367 0.5000
Nd: 0.6754 0.9918 0.5000
Nd: 0.8270 0.5072 0.0000
Nd: 0.8427 0.1573 0.0000
Nd: 0.9918 0.6754 0.5000
Y: 0.5000 0.5000 0.0000
Th: 0.0000 0.0000 0.5000
Th: 0.1682 0.1682 0.0000
Th: 0.3342 0.3342 0.5000
Th: 0.6658 0.6658 0.5000
Th: 0.8318 0.8318 0.0000

Largest 10 diffraction maxima, sorted by position, 15° ≤ 2θ ≤ 90°:
- 2θ = 30.0°, I 100
- 2θ = 34.6°, I 17
- 2θ = 34.9°, I 34
- 2θ = 50.0°, I 24
- 2θ = 50.2°, I 12
- 2θ = 59.2°, I 14
- 2θ = 59.6°, I 16
- 2θ = 59.7°, I 14
- 2θ = 62.4°, I 12
- 2θ = 81.7°, I 6

***

# 2
# DySc3Ag
Theoretical X-ray powder pattern, Cu Ka. Input: the GGA-PBE geometry in Alexandria.
Peak positions follow from Bragg's law for the DFT cell and can differ from measured ones.

Cell and atoms:
Unit cell a=6.4198 b=9.0953 c=8.5628 alpha=90.00 beta=90.00 gamma=90.00
Fractional positions:
Dy: 0.2222 0.2500 0.1459
Dy: 0.2778 0.7500 0.6459
Dy: 0.7222 0.2500 0.3541
Dy: 0.7778 0.7500 0.8541
Sc: 0.1087 0.0519 0.8306
Sc: 0.1087 0.4481 0.8306
Sc: 0.2403 0.7500 0.0236
Sc: 0.2597 0.2500 0.5236
Sc: 0.3913 0.5519 0.3306
Sc: 0.3913 0.9481 0.3306
Sc: 0.6087 0.0519 0.6694
Sc: 0.6087 0.4481 0.6694
Sc: 0.7403 0.7500 0.4764
Sc: 0.7597 0.2500 0.9764
Sc: 0.8913 0.5519 0.1694
Sc: 0.8913 0.9481 0.1694
Ag: 0.0000 0.0000 0.5000
Ag: 0.0000 0.5000 0.5000
Ag: 0.5000 0.0000 0.0000
Ag: 0.5000 0.5000 0.0000

Largest 10 diffraction maxima, sorted by position, 15° ≤ 2θ ≤ 90°:
- 2θ = 25.0°, I 29
- 2θ = 26.2°, I 43
- 2θ = 31.3°, I 76
- 2θ = 31.9°, I 96
- 2θ = 34.2°, I 100
- 2θ = 34.4°, I 42
- 2θ = 35.8°, I 89
- 2θ = 39.6°, I 37
- 2θ = 47.5°, I 35
- 2θ = 62.3°, I 47

***

# 3
# Cs9Hg3O2
Theoretical X-ray powder pattern, Cu Ka. Input: the GGA-PBE geometry in Alexandria.
Peak positions follow from Bragg's law for the DFT cell and can differ from measured ones.

Cell and atoms:
Unit cell a=8.7862 b=8.7862 c=22.1242 alpha=90.00 beta=90.00 gamma=120.00
Fractional positions:
Cs: 0.0375 0.5188 0.2500
Cs: 0.1794 0.3588 0.0927
Cs: 0.1794 0.3588 0.4073
Cs: 0.1794 0.8206 0.0927
Cs: 0.1794 0.8206 0.4073
Cs: 0.3588 0.1794 0.5927
Cs: 0.3588 0.1794 0.9073
Cs: 0.4812 0.5188 0.2500
Cs: 0.4812 0.9625 0.2500
Cs: 0.5188 0.0375 0.7500
Cs: 0.5188 0.4812 0.7500
Cs: 0.6412 0.8206 0.0927
Cs: 0.6412 0.8206 0.4073
Cs: 0.8206 0.1794 0.5927
Cs: 0.8206 0.1794 0.9073
Cs: 0.8206 0.6412 0.5927
Cs: 0.8206 0.6412 0.9073
Cs: 0.9625 0.4812 0.7500
Hg: 0.0000 0.0000 0.2500
Hg: 0.0000 0.0000 0.7500
Hg: 0.3333 0.6667 0.5799
Hg: 0.3333 0.6667 0.9201
Hg: 0.6667 0.3333 0.0799
Hg: 0.6667 0.3333 0.4201
O: 0.3333 0.6667 0.1610
O: 0.3333 0.6667 0.3390
O: 0.6667 0.3333 0.6610
O: 0.6667 0.3333 0.8390

Largest 10 diffraction maxima, sorted by position, 15° ≤ 2θ ≤ 90°:
- 2θ = 23.7°, I 33
- 2θ = 24.1°, I 60
- 2θ = 24.7°, I 80
- 2θ = 26.4°, I 100
- 2θ = 28.5°, I 72
- 2θ = 41.1°, I 44
- 2θ = 43.8°, I 22
- 2θ = 48.2°, I 48
- 2θ = 49.5°, I 23
- 2θ = 66.2°, I 29